(1)
Simulated powder diffraction line list
Compound: Y3Cd2Pb
Radiation: Cu Kα, 1.54184 Å
Structure: a cell relaxed with PBE
Neutral-atom scattering factors, no anomalous dispersion.

Atomic structure:
Cell: 5.290 16.022 3.814 Å, 90.00 90.00 90.00°
Space group Cmmm (No. 65)
Inequivalent atoms, fractional coordinates:
Y1 0.000 0.000 0.000 [2 per cell]
Y2 0.000 0.332 0.000 [4 per cell]
Cd1 0.000 0.174 0.500 [4 per cell]
Pb1 0.000 0.500 0.500 [2 per cell]

Principal peaks in the range 10 to 80 degrees two-theta, most intense first:
- 2θ 33.49, I 1000, hkl 1 3 1
- 2θ 33.89, I 196, hkl 2 0 0
- 2θ 60.37, I 143, hkl 3 3 1
- 2θ 59.95, I 138, hkl 1 9 1
- 2θ 48.44, I 137, hkl 2 6 0
- 2θ 70.33, I 88, hkl 2 6 2
- 2θ 47.68, I 84, hkl 0 0 2
- 2θ 59.79, I 75, hkl 2 0 2

(2)
Simulated powder diffraction line list
Compound: Zn3Cd9Pb
Radiation: Cu Kα, 1.54184 Å
Structure: a cell relaxed with PBE
Neutral-atom scattering factors, no anomalous dispersion.

Atomic structure:
Cell: 5.783 14.033 7.524 Å, 90.00 111.88 90.00°
Space group C2/m (No. 12)
Inequivalent atoms, fractional coordinates:
Zn1 0.000 0.000 0.000 [2 per cell]
Zn2 0.250 0.250 0.500 [4 per cell]
Cd1 0.000 0.500 0.000 [2 per cell]
Cd2 0.096 0.111 0.715 [8 per cell]
Cd3 0.169 0.324 0.841 [8 per cell]
Pb1 0.000 0.500 0.500 [2 per cell]

Principal peaks in the range 10 to 80 degrees two-theta, most intense first:
- 2θ 36.13, I 1000, hkl 1 5 0
- 2θ 36.30, I 479, hkl 0 4 2
- 2θ 35.83, I 259, hkl 2 2 0
- 2θ 31.33, I 251, hkl 1 3 -2
- 2θ 30.93, I 238, hkl 2 0 -1
- 2θ 31.09, I 210, hkl 1 3 1
- 2θ 40.74, I 192, hkl 2 0 -3
- 2θ 36.47, I 189, hkl 1 1 -3

(3)
Simulated powder diffraction line list
Compound: Zr6Cd5Pb
Radiation: Cu Kα, 1.54184 Å
Structure: a cell relaxed with PBE
Neutral-atom scattering factors, no anomalous dispersion.

Atomic structure:
Cell: 4.461 13.451 8.791 Å, 90.00 90.00 90.00°
Space group Cmmm (No. 65)
Inequivalent atoms, fractional coordinates:
Zr1 0.000 0.000 0.249 [4 per cell]
Zr2 0.000 0.333 0.248 [8 per cell]
Cd1 0.000 0.167 0.000 [4 per cell]
Cd2 0.000 0.173 0.500 [4 per cell]
Cd3 0.000 0.500 0.000 [2 per cell]
Pb1 0.000 0.500 0.500 [2 per cell]

Principal peaks in the range 10 to 80 degrees two-theta, most intense first:
- 2θ 34.95, I 1000, hkl 1 3 2
- 2θ 40.44, I 167, hkl 2 0 0
- 2θ 40.23, I 167, hkl 0 6 0
- 2θ 41.07, I 159, hkl 0 0 4
- 2θ 70.02, I 126, hkl 3 3 2
- 2θ 69.72, I 124, hkl 1 9 2
- 2θ 70.88, I 122, hkl 1 3 6
- 2θ 58.36, I 109, hkl 2 6 0

(4)
Simulated powder diffraction line list
Compound: Cd3Pd5
Radiation: Cu Kα, 1.54184 Å
Structure: a cell relaxed with PBE
Neutral-atom scattering factors, no anomalous dispersion.

Atomic structure:
Cell: 3.028 3.028 14.753 Å, 90.00 90.00 90.00°
Space group P4/mmm (No. 123)
Inequivalent atoms, fractional coordinates:
Cd1 0.000 0.000 0.000 [1 per cell]
Cd2 0.500 0.500 0.371 [2 per cell]
Pd1 0.000 0.000 0.247 [2 per cell]
Pd2 0.000 0.000 0.500 [1 per cell]
Pd3 0.500 0.500 0.125 [2 per cell]

Principal peaks in the range 10 to 80 degrees two-theta, most intense first:
- 2θ 38.46, I 1000, hkl 1 0 4
- 2θ 42.20, I 384, hkl 1 1 0
- 2θ 74.66, I 270, hkl 2 1 4
- 2θ 66.97, I 184, hkl 1 1 8
- 2θ 61.21, I 124, hkl 2 0 0
- 2θ 49.42, I 118, hkl 0 0 8

(5)
Simulated powder diffraction line list
Compound: Cd15Pd
Radiation: Cu Kα, 1.54184 Å
Structure: a cell relaxed with PBE
Neutral-atom scattering factors, no anomalous dispersion.

Atomic structure:
Cell: 6.1477 6.1477 10.4488 Å, 90.00 90.00 120.00°
Space group P-6m2 (No. 187)
Inequivalent atoms, fractional coordinates:
Cd1 0.0000 0.0000 0.0000 [1 per cell]
Cd2 0.0053 0.5026 0.5000 [3 per cell]
Cd3 0.3283 0.1641 0.2620 [6 per cell]
Cd4 0.3333 0.6667 0.2433 [2 per cell]
Cd5 0.5023 0.0046 0.0000 [3 per cell]
Pd1 0.0000 0.0000 0.5000 [1 per cell]

Principal peaks in the range 10 to 80 degrees two-theta, most intense first:
- 2θ 37.93, I 1000, hkl 2 0 2
- 2θ 34.33, I 286, hkl 0 0 4
- 2θ 33.67, I 234, hkl 2 0 0
- 2θ 71.18, I 189, hkl 2 2 4
- 2θ 63.88, I 189, hkl 2 0 6
- 2θ 60.21, I 164, hkl 2 2 0
- 2θ 48.85, I 153, hkl 2 0 4
- 2θ 73.41, I 133, hkl 4 0 2

(6)
Simulated powder diffraction line list
Compound: Cd43Pd8
Radiation: Cu Kα, 1.54184 Å
Structure: a cell relaxed with PBE
Neutral-atom scattering factors, no anomalous dispersion.

Atomic structure:
Cell: 14.3781 14.3781 17.5162 Å, 90.00 90.00 120.00°
Space group R3m (No. 160, hexagonal axes)
Inequivalent atoms, fractional coordinates:
Cd1 0.0000 0.0000 0.0000 [3 per cell]
Cd2 0.0114 0.3765 0.7845 [18 per cell]
Cd3 0.0118 0.3767 0.2853 [18 per cell]
Cd4 0.0672 0.1344 0.6297 [9 per cell]
Cd5 0.0701 0.1402 0.1406 [9 per cell]
Cd6 0.0964 0.5482 0.6511 [9 per cell]
Cd7 0.0978 0.5489 0.4551 [9 per cell]
Cd8 0.0990 0.5495 0.1508 [9 per cell]
Cd9 0.1016 0.5508 0.9633 [9 per cell]
Cd10 0.1546 0.0773 0.3964 [9 per cell]
Cd11 0.1719 0.0859 0.8826 [9 per cell]
Cd12 0.2145 0.4291 0.8939 [9 per cell]
Cd13 0.2152 0.4304 0.3884 [9 per cell]
Pd1 0.0000 0.0000 0.2761 [3 per cell]
Pd2 0.0000 0.0000 0.7710 [3 per cell]
Pd3 0.2152 0.4303 0.2154 [9 per cell]
Pd4 0.2195 0.4390 0.7129 [9 per cell]

Principal peaks in the range 10 to 80 degrees two-theta, most intense first:
- 2θ 37.56, I 1000, hkl 3 3 0
- 2θ 37.67, I 614, hkl 0 3 6
- 2θ 67.79, I 158, hkl 3 6 6
- 2θ 41.70, I 108, hkl 0 5 4
- 2θ 67.94, I 101, hkl 5 1 10
- 2θ 54.19, I 87, hkl 6 0 6
- 2θ 63.42, I 75, hkl 0 8 4
- 2θ 30.48, I 70, hkl 0 4 2

Number 3 is which compound? Zr6Cd5Pb